# Li2VSbO6
Theoretical powder X-ray diffraction pattern, a wavelength of 1.5418 Å. Input: a DFT-relaxed cell (GGA+U, Alexandria).
Peak positions follow from Bragg's law for the DFT cell and can differ from measured ones.

Principal peaks in the range 10 to 90 degrees two-theta, low angle first:
- 16.38 deg, rel. 24
- 22.04 deg, rel. 59
- 23.24 deg, rel. 100
- 32.24 deg, rel. 44
- 33.10 deg, rel. 22
- 47.51 deg, rel. 27
- 51.20 deg, rel. 23
- 52.96 deg, rel. 19
- 53.53 deg, rel. 18
- 72.42 deg, rel. 17

Structure:
abc: 5.413 5.413 4.034
angles: 90.00 90.00 90.00
Element x y z (fractional)
Li 0.000 0.500 0.000
Li 0.500 0.000 0.000
V 0.000 0.000 0.688
Sb 0.500 0.500 0.728
O 0.000 0.000 0.283
O 0.243 0.243 0.790
O 0.243 0.757 0.790
O 0.500 0.500 0.246
O 0.757 0.243 0.790
O 0.757 0.757 0.790